Theoretical powder diffractogram of PmBiN2O for Cu Kα, from DFT lattice parameters and positions (GGA-PBE).

Structure:
```
data_PmBiN2O
_chemical_formula_sum 'Pm6 Bi6 N12 O6'
_space_group_name_H-M_alt 'P 63 c m'
_space_group_IT_number 185
_space_group_name_Hall 'P 6c -2'
_cell_length_a 6.7982
_cell_length_b 6.7982
_cell_length_c 12.2893
_cell_angle_alpha 90.00
_cell_angle_beta 90.00
_cell_angle_gamma 120.00
loop_
_atom_site_label
_atom_site_fract_x
_atom_site_fract_y
_atom_site_fract_z
Pm1 0.0000 0.0000 0.0000
Pm2 0.3333 0.6667 0.4692
Bi1 0.0000 0.3335 0.2332
N1 0.0000 0.3121 0.3990
N2 0.0000 0.3561 0.0682
O1 0.0000 0.0000 0.2057
O2 0.3333 0.6667 0.2581
```

Principal peaks in the range 2θ from 10° to 80°, low angle first:
| 2θ (°) | I_rel | (hkl) |
| --- | --- | --- |
| 27.2 | 93 | 1 1 1 |
| 29.1 | 42 | 0 0 4 |
| 30.0 | 100 | 1 1 2 |
| 34.3 | 34 | 1 1 3 |
| 45.5 | 23 | 1 1 5 |
| 46.3 | 47 | 3 0 0 |
| 52.1 | 23 | 1 1 6 |
| 55.6 | 43 | 3 0 4 |

---

Theoretical powder diffractogram of CsZr2As3O12 for Cu Kα, from DFT lattice parameters and positions (GGA-PBE).

Structure:
```
data_CsZr2As3O12
_chemical_formula_sum 'Cs6 Zr12 As18 O72'
_space_group_name_H-M_alt 'R -3 c'
_space_group_IT_number 167
_space_group_name_Hall '-R 3 2"c'
_cell_length_a 8.8800
_cell_length_b 8.8800
_cell_length_c 25.9986
_cell_angle_alpha 90.00
_cell_angle_beta 90.00
_cell_angle_gamma 120.00
loop_
_atom_site_label
_atom_site_fract_x
_atom_site_fract_y
_atom_site_fract_z
Cs1 0.0000 0.0000 0.0000
Zr1 0.0000 0.0000 0.1511
As1 0.0000 0.2723 0.2500
O1 0.0332 0.2004 0.8963
O2 0.0853 0.2174 0.1996
```

Principal peaks in the range 2θ from 10° to 80°, low angle first:
| 2θ (°) | I_rel | (hkl) |
| --- | --- | --- |
| 20.0 | 44 | 1 1 0 |
| 22.5 | 61 | 1 1 3 |
| 28.8 | 100 | 1 1 6 |
| 29.8 | 14 | 0 1 8 |
| 35.0 | 29 | 3 0 0 |
| 45.9 | 29 | 2 2 6 |
| 55.5 | 24 | 0 4 8 |
| 59.0 | 21 | 1 2 14 |

---

Theoretical powder diffractogram of GaCo10 for Cu Kα, from DFT lattice parameters and positions (GGA-PBE).

Structure:
```
data_GaCo10
_chemical_formula_sum 'Ga4 Co40'
_space_group_name_H-M_alt 'C 1 2/m 1'
_space_group_IT_number 12
_cell_length_a 7.776
_cell_length_b 3.453
_cell_length_c 28.833
_cell_angle_alpha 90.00
_cell_angle_beta 90.23
_cell_angle_gamma 90.00
loop_
_space_group_symop_operation_xyz
'x,y,z'
'-x,-y,-z'
'-x,y,-z'
'x,-y,z'
'x+1/2,y+1/2,z'
'-x+1/2,-y+1/2,-z'
'-x+1/2,y+1/2,-z'
'x+1/2,-y+1/2,z'
loop_
_atom_site_label
_atom_site_fract_x
_atom_site_fract_y
_atom_site_fract_z
Ga1 0.150 0.000 0.209
Co1 0.048 0.000 0.680
Co2 0.050 0.000 0.403
Co3 0.050 0.500 0.541
Co4 0.051 0.500 0.266
Co5 0.148 0.000 0.761
Co6 0.150 0.000 0.486
Co7 0.150 0.500 0.348
Co8 0.151 0.500 0.624
Co9 0.245 0.500 0.706
Co10 0.249 0.000 0.569
```

Principal peaks in the range 2θ from 10° to 80°, low angle first:
| 2θ (°) | I_rel | (hkl) |
| --- | --- | --- |
| 12.3 | 24 | 0 0 4 |
| 42.5 | 40 | 1 1 10 |
| 44.7 | 64 | 3 1 -3 |
| 45.0 | 100 | 1 1 11 |
| 45.5 | 81 | 3 1 -4 |
| 50.0 | 26 | 2 0 -14 |
| 52.1 | 29 | 4 0 7 |
| 53.1 | 52 | 0 2 0 |

---

Theoretical powder diffractogram of NdF4 for Cu Kα, from DFT lattice parameters and positions (GGA-PBE).

Structure:
```
data_NdF4
_chemical_formula_sum 'Nd2 F8'
_space_group_name_H-M_alt 'P -1'
_space_group_IT_number 2
_cell_length_a 4.459
_cell_length_b 5.290
_cell_length_c 6.056
_cell_angle_alpha 98.62
_cell_angle_beta 102.66
_cell_angle_gamma 106.95
loop_
_space_group_symop_operation_xyz
'x,y,z'
'-x,-y,-z'
loop_
_atom_site_label
_atom_site_fract_x
_atom_site_fract_y
_atom_site_fract_z
Nd1 0.248 0.330 0.185
F1 0.072 0.077 0.809
F2 0.237 0.451 0.567
F3 0.295 0.671 0.980
F4 0.412 0.852 0.517
```

Principal peaks in the range 2θ from 10° to 80°, low angle first:
| 2θ (°) | I_rel | (hkl) |
| --- | --- | --- |
| 18.0 | 49 | 0 1 0 |
| 20.9 | 51 | 0 1 -1 |
| 22.9 | 100 | 1 0 -1 |
| 23.1 | 79 | 1 -1 0 |
| 26.4 | 75 | 0 1 1 |
| 36.2 | 52 | 0 2 -1 |
| 37.5 | 61 | -1 1 2 |
| 41.6 | 44 | 2 -1 0 |

---

Theoretical powder diffractogram of Cu7Ag2 for Cu Kα, from DFT lattice parameters and positions (GGA-PBE).

Structure:
```
data_Cu7Ag2
_chemical_formula_sum 'Cu14 Ag4'
_space_group_name_H-M_alt 'C 1 2/m 1'
_space_group_IT_number 12
_cell_length_a 8.358
_cell_length_b 3.768
_cell_length_c 7.947
_cell_angle_alpha 90.00
_cell_angle_beta 108.49
_cell_angle_gamma 90.00
loop_
_space_group_symop_operation_xyz
'x,y,z'
'-x,-y,-z'
'-x,y,-z'
'x,-y,z'
'x+1/2,y+1/2,z'
'-x+1/2,-y+1/2,-z'
'-x+1/2,y+1/2,-z'
'x+1/2,-y+1/2,z'
loop_
_atom_site_label
_atom_site_fract_x
_atom_site_fract_y
_atom_site_fract_z
Cu1 0.000 0.000 0.000
Cu2 0.012 0.000 0.345
Cu3 0.163 0.500 0.548
Cu4 0.176 0.500 0.240
Ag1 0.157 0.500 0.879
```

Principal peaks in the range 2θ from 10° to 80°, low angle first:
| 2θ (°) | I_rel | (hkl) |
| --- | --- | --- |
| 33.0 | 2 | 1 1 -2 |
| 37.8 | 2 | 2 0 2 |
| 41.7 | 100 | 1 1 -3 |
| 48.3 | 17 | 0 2 0 |
| 48.7 | 30 | 4 0 -3 |
| 71.0 | 18 | 4 2 -3 |
| 71.2 | 4 | 2 0 -6 |
| 71.4 | 4 | 6 0 0 |

---

Theoretical powder diffractogram of Tb2CoSiI2 for Cu Kα, from DFT lattice parameters and positions (GGA-PBE).

Structure:
```
data_Tb2CoSiI2
_chemical_formula_sum 'Tb2 Co1 Si1 I2'
_space_group_name_H-M_alt 'P 3 m 1'
_space_group_IT_number 156
_cell_length_a 4.0565
_cell_length_b 4.0565
_cell_length_c 12.2831
_cell_angle_alpha 90.00
_cell_angle_beta 90.00
_cell_angle_gamma 120.00
loop_
_space_group_symop_operation_xyz
'x,y,z'
'-y,x-y,z'
'-x+y,-x,z'
'-y,-x,z'
'-x+y,y,z'
'x,x-y,z'
loop_
_atom_site_label
_atom_site_fract_x
_atom_site_fract_y
_atom_site_fract_z
Tb1 0.0000 0.0000 0.0000
Tb2 0.0000 0.0000 0.2997
Co1 0.3333 0.6667 0.1479
Si1 0.6667 0.3333 0.1520
I1 0.3333 0.6667 0.4734
I2 0.6667 0.3333 0.8259
```

Principal peaks in the range 2θ from 10° to 80°, low angle first:
| 2θ (°) | I_rel | (hkl) |
| --- | --- | --- |
| 26.4 | 65 | 0 1 1 |
| 29.3 | 24 | 0 1 2 |
| 33.6 | 100 | 0 1 3 |
| 39.0 | 34 | 1 0 4 |
| 44.7 | 44 | 1 1 0 |
| 57.1 | 22 | 2 0 3 |
| 64.7 | 22 | 1 1 6 |
| 75.2 | 19 | 1 2 3 |

---

> Which formula does entry 4 have?

NdF4